Tb3Ga4Pt7: computed X-ray powder pattern (Cu Kα), based on the GGA-PBE geometry in Alexandria.
No peak broadening, texture or thermal motion is included.

```
Tb3Ga4Pt7
1.0
7.7803 -2.0570 0.0000
7.7803 2.0570 0.0000
-5.5418 0.0000 7.9229
Tb Ga Pt
3 4 7
direct
0.0000 0.0000 0.0000 Tb
0.3267 0.3267 0.3316 Tb
0.6733 0.6733 0.6684 Tb
0.1150 0.1150 0.8374 Ga
0.3365 0.3365 0.7285 Ga
0.6635 0.6635 0.2715 Ga
0.8850 0.8850 0.1626 Ga
0.0000 0.0000 0.5000 Pt
0.1623 0.1623 0.4257 Pt
0.3096 0.3096 0.9577 Pt
0.4942 0.4942 0.7140 Pt
0.5058 0.5058 0.2860 Pt
0.6904 0.6904 0.0423 Pt
0.8377 0.8377 0.5743 Pt
```

The 6 most intense peaks (10° ≤ 2θ ≤ 90°), in order of rising 2θ:
- 34.94°, intensity 100
- 36.28°, intensity 64
- 37.28°, intensity 30
- 38.84°, intensity 31
- 42.54°, intensity 38
- 44.02°, intensity 55

***

Ac6SiIr3: computed X-ray powder pattern (Cu Kα), based on the GGA-PBE geometry in Alexandria.
No peak broadening, texture or thermal motion is included.

```
Ac6SiIr3
1.0
12.4024 0.0000 0.0000
0.0000 4.4500 0.0000
-4.0490 0.0000 11.9771
Ac Si Ir
12 2 6
direct
0.0373 0.2500 0.3921 Ac
0.1042 0.2500 0.9391 Ac
0.2264 0.7500 0.2639 Ac
0.2971 0.7500 0.7558 Ac
0.3795 0.2500 0.5364 Ac
0.4228 0.7500 0.0919 Ac
0.5772 0.2500 0.9081 Ac
0.6205 0.7500 0.4636 Ac
0.7029 0.2500 0.2442 Ac
0.7736 0.2500 0.7361 Ac
0.8958 0.7500 0.0609 Ac
0.9627 0.7500 0.6079 Ac
0.4526 0.2500 0.3052 Si
0.5474 0.7500 0.6948 Si
0.0578 0.2500 0.1645 Ir
0.1913 0.7500 0.4969 Ir
0.3426 0.2500 0.9163 Ir
0.6574 0.7500 0.0837 Ir
0.8087 0.2500 0.5031 Ir
0.9422 0.7500 0.8355 Ir
```

The 6 most intense peaks (10° ≤ 2θ ≤ 90°), in order of rising 2θ:
- 27.57°, intensity 65
- 28.82°, intensity 100
- 29.24°, intensity 70
- 30.40°, intensity 74
- 37.57°, intensity 49
- 40.54°, intensity 70

***

Tl2TcBr5: computed X-ray powder pattern (Cu Kα), based on the GGA-PBE geometry in Alexandria.
No peak broadening, texture or thermal motion is included.

```
Tl2TcBr5
1.0
6.4129 -3.8188 0.0000
6.4129 3.8188 0.0000
-4.4904 0.0000 6.3434
Tl Tc Br
2 1 5
direct
0.0000 0.0000 0.0000 Tl
0.5070 0.5070 0.5613 Tl
0.7215 0.7215 0.2656 Tc
0.4345 0.9007 0.4345 Br
0.4816 0.9442 0.0231 Br
0.9007 0.4345 0.4345 Br
0.9442 0.4816 0.0231 Br
0.9705 0.9705 0.5544 Br
```

The 6 most intense peaks (10° ≤ 2θ ≤ 90°), in order of rising 2θ:
- 14.39°, intensity 50
- 23.29°, intensity 68
- 23.86°, intensity 55
- 28.13°, intensity 41
- 28.94°, intensity 77
- 32.89°, intensity 100

***

Pm3Dy3Mg: computed X-ray powder pattern (Cu Kα), based on the GGA-PBE geometry in Alexandria.
No peak broadening, texture or thermal motion is included.

```
Pm3Dy3Mg
1.0
3.1106 1.7959 14.0291
-3.1106 1.7959 14.0291
0.0000 -3.5918 14.0291
Pm Dy Mg
6 6 2
direct
0.1021 0.4353 0.7693 Pm
0.2307 0.8979 0.5647 Pm
0.4353 0.7693 0.1021 Pm
0.5647 0.2307 0.8979 Pm
0.7693 0.1021 0.4353 Pm
0.8979 0.5647 0.2307 Pm
0.0345 0.7003 0.3677 Dy
0.2997 0.6323 0.9655 Dy
0.3677 0.0345 0.7003 Dy
0.6323 0.9655 0.2997 Dy
0.7003 0.3677 0.0345 Dy
0.9655 0.2997 0.6323 Dy
0.1667 0.1667 0.1667 Mg
0.8333 0.8333 0.8333 Mg
```

The 6 most intense peaks (10° ≤ 2θ ≤ 90°), in order of rising 2θ:
- 28.70°, intensity 27
- 31.46°, intensity 100
- 31.90°, intensity 32
- 34.63°, intensity 61
- 50.84°, intensity 27
- 61.28°, intensity 30

***

GdLuMnAg: computed X-ray powder pattern (Cu Kα), based on the GGA-PBE geometry in Alexandria.
No peak broadening, texture or thermal motion is included.

```
GdLuMnAg
1.0
0.0000 3.5780 3.5780
3.5780 0.0000 3.5780
3.5780 3.5780 0.0000
Gd Lu Mn Ag
1 1 1 1
direct
0.0000 0.0000 0.0000 Gd
0.5000 0.5000 0.5000 Lu
0.7500 0.7500 0.7500 Mn
0.2500 0.2500 0.2500 Ag
```

The 6 most intense peaks (10° ≤ 2θ ≤ 90°), in order of rising 2θ:
- 24.89°, intensity 12
- 35.48°, intensity 100
- 51.05°, intensity 17
- 63.71°, intensity 35
- 75.10°, intensity 11
- 85.90°, intensity 16

***

Ac2Ce3Se8: computed X-ray powder pattern (Cu Kα), based on the GGA-PBE geometry in Alexandria.
No peak broadening, texture or thermal motion is included.

```
Ac2Ce3Se8
1.0
7.6405 -4.3270 0.0000
7.6405 4.3270 0.0000
-2.5051 0.0000 6.8391
Ac Ce Se
2 3 8
direct
0.2319 0.2319 0.1617 Ac
0.7681 0.7681 0.8383 Ac
0.2401 0.7599 0.5000 Ce
0.5000 0.5000 0.0000 Ce
0.7599 0.2401 0.5000 Ce
0.1140 0.1140 0.4292 Se
0.1523 0.6057 0.0902 Se
0.3893 0.3893 0.5804 Se
0.3943 0.8477 0.9098 Se
0.6057 0.1523 0.0902 Se
0.6107 0.6107 0.4196 Se
0.8477 0.3943 0.9098 Se
0.8860 0.8860 0.5708 Se
```

The 6 most intense peaks (10° ≤ 2θ ≤ 90°), in order of rising 2θ:
- 19.16°, intensity 91
- 21.28°, intensity 85
- 24.02°, intensity 50
- 31.56°, intensity 100
- 38.24°, intensity 84
- 42.73°, intensity 100